Entry 1:
For Mg2SiO4, a PBE-relaxed structure gives the simulated powder X-ray diffraction pattern in this record (copper Kα).
Peak positions follow from Bragg's law for the DFT cell and can differ from measured ones.

The 6 most intense peaks (2θ from 5° to 70°), sorted by position:
| 2θ/deg | I (rel.) | hkl |
| --- | --- | --- |
| 20.97 | 46.7 | 1 1 0 |
| 23.28 | 100.0 | 0 1 2 |
| 23.39 | 68.8 | 1 1 1 |
| 30.13 | 70.0 | 1 2 1 |
| 35.21 | 95.1 | 1 2 2 |
| 39.04 | 38.9 | 1 3 1 |

Structural model:
a = 4.946 Å, b = 8.207 Å, c = 8.636 Å
α = 90.00°, β = 90.00°, γ = 90.00°
Space group P2_12_12_1 (No. 19)
Inequivalent atoms, fractional coordinates:
Mg: 0.086 0.145 0.473 x4
Mg: 0.157 0.767 0.644 x4
Si: 0.154 0.506 0.374 x4
O: 0.027 0.887 0.012 x4
O: 0.045 0.101 0.247 x4
O: 0.102 0.613 0.812 x4
O: 0.163 0.358 0.973 x4

Entry 2:
For MgSi6O12, a PBE-relaxed structure gives the simulated powder X-ray diffraction pattern in this record (copper Kα).
Peak positions follow from Bragg's law for the DFT cell and can differ from measured ones.

The 6 most intense peaks (2θ from 5° to 70°), sorted by position:
| 2θ/deg | I (rel.) | hkl |
| --- | --- | --- |
| 18.92 | 34.9 | 1 0 0 |
| 19.54 | 86.9 | 1 1 1 |
| 23.94 | 64.7 | 0 0 2 |
| 25.76 | 94.0 | 1 1 2 |
| 26.03 | 100.0 | 0 2 0 |
| 26.27 | 28.2 | 1 2 1 |

Structural model:
a = 5.053 Å, b = 7.437 Å, c = 7.902 Å
α = 73.19°, β = 74.84°, γ = 70.83°
Space group P1 (No. 1)
Inequivalent atoms, fractional coordinates:
Mg: 0.000 0.000 0.000 x1
Si: 0.217 0.933 0.612 x1
Si: 0.479 0.018 0.226 x1
Si: 0.561 0.438 0.087 x1
Si: 0.582 0.504 0.675 x1
Si: 0.621 0.063 0.779 x1
Si: 0.903 0.588 0.279 x1
O: 0.236 0.010 0.143 x1
O: 0.236 0.543 0.175 x1
O: 0.315 0.988 0.774 x1
O: 0.319 0.697 0.630 x1
O: 0.388 0.044 0.431 x1
O: 0.486 0.308 0.703 x1
O: 0.628 0.200 0.121 x1
O: 0.652 0.511 0.867 x1
O: 0.762 0.479 0.191 x1
O: 0.774 0.827 0.214 x1
O: 0.847 0.520 0.499 x1
O: 0.879 0.002 0.603 x1

Entry 3:
For MgSiO, a PBE-relaxed structure gives the simulated powder X-ray diffraction pattern in this record (copper Kα).
Peak positions follow from Bragg's law for the DFT cell and can differ from measured ones.

The 6 most intense peaks (2θ from 5° to 70°), sorted by position:
| 2θ/deg | I (rel.) | hkl |
| --- | --- | --- |
| 16.64 | 24.3 | 0 0 1 |
| 34.34 | 100.0 | 1 1 1 |
| 34.45 | 33.9 | 2 0 -2 |
| 37.79 | 27.8 | 4 0 0 |
| 40.05 | 25.9 | 3 1 -1 |
| 55.43 | 18.5 | 0 2 0 |

Structural model:
a = 9.804 Å, b = 3.316 Å, c = 5.485 Å
α = 90.00°, β = 103.77°, γ = 90.00°
Space group Cm (No. 8)
Inequivalent atoms, fractional coordinates:
Mg: 0.000 0.000 0.000 x2
Mg: 0.015 0.500 0.507 x2
Si: 0.276 0.500 0.361 x2
Si: 0.278 0.000 0.688 x2
O: 0.098 0.500 0.198 x2
O: 0.102 0.000 0.710 x2

Entry 4:
For MgSi6O12, a PBE-relaxed structure gives the simulated powder X-ray diffraction pattern in this record (copper Kα).
Peak positions follow from Bragg's law for the DFT cell and can differ from measured ones.

The 6 most intense peaks (2θ from 5° to 70°), sorted by position:
| 2θ/deg | I (rel.) | hkl |
| --- | --- | --- |
| 12.81 | 92.6 | 0 1 0 |
| 16.79 | 52.4 | 0 1 1 |
| 17.28 | 100.0 | 1 0 0 |
| 19.99 | 71.4 | 1 0 1 |
| 23.51 | 91.2 | 0 0 2 |
| 27.08 | 50.7 | 1 2 0 |

Structural model:
a = 5.351 Å, b = 7.192 Å, c = 7.632 Å
α = 84.66°, β = 83.50°, γ = 74.42°
Space group P-1 (No. 2)
Inequivalent atoms, fractional coordinates:
Mg: 0.000 0.000 0.000 x1
Si: 0.062 0.706 0.291 x2
Si: 0.094 0.261 0.299 x2
Si: 0.493 0.943 0.158 x2
O: 0.038 0.750 0.495 x2
O: 0.062 0.800 0.839 x2
O: 0.133 0.481 0.259 x2
O: 0.206 0.177 0.806 x2
O: 0.287 0.803 0.178 x2
O: 0.394 0.113 0.296 x2

Entry 5:
For MgSiO6, a PBE-relaxed structure gives the simulated powder X-ray diffraction pattern in this record (copper Kα).
Peak positions follow from Bragg's law for the DFT cell and can differ from measured ones.

The 6 most intense peaks (2θ from 5° to 70°), sorted by position:
| 2θ/deg | I (rel.) | hkl |
| --- | --- | --- |
| 23.48 | 50.2 | 0 2 0 |
| 23.67 | 100.0 | 1 0 1 |
| 48.03 | 14.9 | 0 4 0 |
| 48.44 | 30.5 | 2 0 2 |
| 54.23 | 14.1 | 1 4 1 |
| 54.51 | 14.7 | 2 2 2 |

Structural model:
a = 5.053 Å, b = 7.577 Å, c = 5.624 Å
α = 90.00°, β = 90.00°, γ = 90.00°
Space group Pnnm (No. 58)
Inequivalent atoms, fractional coordinates:
Mg: 0.000 0.000 0.000 x2
Si: 0.000 0.500 0.000 x2
O: 0.033 0.272 0.000 x4
O: 0.230 0.482 0.228 x8

Entry 6:
For Mg3Si2O9, a PBE-relaxed structure gives the simulated powder X-ray diffraction pattern in this record (copper Kα).
Peak positions follow from Bragg's law for the DFT cell and can differ from measured ones.

The 6 most intense peaks (2θ from 5° to 70°), sorted by position:
| 2θ/deg | I (rel.) | hkl |
| --- | --- | --- |
| 12.13 | 100.0 | 0 0 2 |
| 18.93 | 42.6 | 1 0 0 |
| 22.55 | 65.6 | 1 0 2 |
| 24.40 | 72.2 | 0 0 4 |
| 35.38 | 74.3 | 1 1 2 |
| 59.13 | 28.5 | 3 0 0 |

Structural model:
a = 5.4122 Å, b = 5.4122 Å, c = 14.5931 Å
α = 90.00°, β = 90.00°, γ = 120.00°
Space group P6_3cm (No. 185)
Inequivalent atoms, fractional coordinates:
Mg: 0.0000 0.3558 0.0000 x6
Si: 0.3333 0.6667 0.1936 x4
O: 0.0000 0.0000 0.0526 x2
O: 0.0000 0.3064 0.4374 x6
O: 0.0000 0.4996 0.2296 x6
O: 0.3333 0.6667 0.0806 x4